This entry pairs a crystal structure of Li7Mn2Co3O12 with its theoretical X-ray powder pattern. Radiation: Cu Kα. Structure: DFT lattice parameters and positions (PBE+U).
Kinematic intensities with the Lorentz-polarization factor, no thermal factor.

The 10 most intense peaks (10° ≤ 2θ ≤ 90°), sorted by position:
2θ 15.37, intensity 10; 2θ 18.33, intensity 100; 2θ 35.60, intensity 14; 2θ 35.63, intensity 13; 2θ 36.69, intensity 11; 2θ 42.96, intensity 29; 2θ 43.23, intensity 28; 2θ 44.45, intensity 26; 2θ 62.40, intensity 8; 2θ 62.76, intensity 15

Structural model:
a b c (Å): 2.8985 5.9258 12.8953
angles (deg): 76.86 89.02 88.15
Positions (direct):
1 Li 0.0000 0.0000 0.0000
2 Li 0.0000 0.5000 0.0000
3 Li 0.0024 0.3338 0.3336
4 Li 0.4984 0.1788 0.1545
5 Li 0.5000 0.5000 0.5000
6 Li 0.5016 0.8212 0.8455
7 Li 0.9976 0.6662 0.6664
8 Mn 0.4952 0.6666 0.1582
9 Mn 0.5048 0.3334 0.8418
10 Co 0.0097 0.1679 0.6671
11 Co 0.5000 0.0000 0.5000
12 Co 0.9903 0.8321 0.3329
13 O 0.0079 0.4452 0.1679
14 O 0.0165 0.2343 0.5019
15 O 0.0183 0.1118 0.8313
16 O 0.4760 0.6034 0.3264
17 O 0.4836 0.9337 0.6654
18 O 0.4971 0.2556 0.9860
19 O 0.5029 0.7444 0.0140
20 O 0.5164 0.0663 0.3346
21 O 0.5240 0.3966 0.6736
22 O 0.9817 0.8882 0.1687
23 O 0.9835 0.7657 0.4981
24 O 0.9921 0.5548 0.8321


This entry pairs a crystal structure of Li3MnCoO5 with its theoretical X-ray powder pattern. Radiation: Cu Kα. Structure: DFT lattice parameters and positions (PBE+U).
Kinematic intensities with the Lorentz-polarization factor, no thermal factor.

The 10 most intense peaks (10° ≤ 2θ ≤ 90°), sorted by position:
2θ 11.13, intensity 16; 2θ 11.97, intensity 14; 2θ 18.45, intensity 100; 2θ 36.00, intensity 39; 2θ 43.55, intensity 60; 2θ 43.90, intensity 29; 2θ 57.47, intensity 11; 2θ 63.56, intensity 31; 2θ 63.74, intensity 10; 2θ 67.02, intensity 9

Structural model:
a b c (Å): 7.8137 7.8137 8.2493
angles (deg): 105.28 105.28 21.54
Positions (direct):
1 Li 0.0000 0.0000 0.0000
2 Li 0.0000 0.0000 0.5000
3 Li 0.1940 0.1940 0.0994
4 Li 0.4003 0.4003 0.7124
5 Li 0.5997 0.5997 0.2876
6 Li 0.8060 0.8060 0.9006
7 Mn 0.4021 0.4021 0.1917
8 Mn 0.5979 0.5979 0.8083
9 Co 0.1984 0.1984 0.5969
10 Co 0.8016 0.8016 0.4031
11 O 0.0118 0.0118 0.7542
12 O 0.1882 0.1882 0.8376
13 O 0.2048 0.2048 0.3578
14 O 0.3940 0.3940 0.4361
15 O 0.3973 0.3973 0.9682
16 O 0.6027 0.6027 0.0318
17 O 0.6060 0.6060 0.5639
18 O 0.7952 0.7952 0.6422
19 O 0.8118 0.8118 0.1624
20 O 0.9882 0.9882 0.2458


This entry pairs a crystal structure of Li7Mn4CoO12 with its theoretical X-ray powder pattern. Radiation: Cu Kα. Structure: DFT lattice parameters and positions (PBE+U).
Kinematic intensities with the Lorentz-polarization factor, no thermal factor.

The 10 most intense peaks (10° ≤ 2θ ≤ 90°), sorted by position:
2θ 18.28, intensity 100; 2θ 34.71, intensity 17; 2θ 36.18, intensity 12; 2θ 36.55, intensity 12; 2θ 41.54, intensity 33; 2θ 44.15, intensity 27; 2θ 44.43, intensity 28; 2θ 61.95, intensity 8; 2θ 62.22, intensity 16; 2θ 62.93, intensity 8

Structural model:
a b c (Å): 2.9600 7.8149 19.0761
angles (deg): 90.81 93.99 97.23
Positions (direct):
1 Li 0.0912 0.3961 0.2112
2 Li 0.1166 0.1182 0.6320
3 Li 0.2120 0.8763 0.0426
4 Li 0.2503 0.7510 0.2494
5 Li 0.2857 0.6267 0.4577
6 Li 0.3796 0.3780 0.8696
7 Li 0.4077 0.1037 0.2886
8 Li 0.5923 0.8963 0.7114
9 Li 0.6204 0.6220 0.1304
10 Li 0.7143 0.3733 0.5423
11 Li 0.7497 0.2490 0.7506
12 Li 0.7880 0.1237 0.9574
13 Li 0.8834 0.8818 0.3680
14 Li 0.9088 0.6039 0.7888
15 Mn 0.0866 0.2502 0.4160
16 Mn 0.1870 0.0071 0.8310
17 Mn 0.3169 0.4900 0.6700
18 Mn 0.4000 0.2500 0.0819
19 Mn 0.6000 0.7500 0.9181
20 Mn 0.6831 0.5100 0.3300
21 Mn 0.8130 0.9929 0.1690
22 Mn 0.9134 0.7498 0.5840
23 Co 0.0000 0.5000 0.0000
24 Co 0.5000 0.0000 0.5000
25 O 0.0461 0.4382 0.0985
26 O 0.0992 0.1829 0.5152
27 O 0.1154 0.3386 0.3179
28 O 0.1565 0.0527 0.7372
29 O 0.2289 0.9337 0.9325
30 O 0.2470 0.6661 0.3513
31 O 0.2498 0.8367 0.1482
32 O 0.2877 0.5677 0.5689
33 O 0.3451 0.4455 0.7642
34 O 0.3665 0.3199 0.9838
35 O 0.3796 0.1663 0.1805
36 O 0.4621 0.0726 0.3959
37 O 0.5379 0.9274 0.6041
38 O 0.6204 0.8337 0.8195
39 O 0.6335 0.6801 0.0162
40 O 0.6549 0.5545 0.2358
41 O 0.7123 0.4323 0.4311
42 O 0.7502 0.1633 0.8518
43 O 0.7530 0.3339 0.6487
44 O 0.7711 0.0663 0.0675
45 O 0.8435 0.9473 0.2628
46 O 0.8846 0.6614 0.6821
47 O 0.9008 0.8171 0.4848
48 O 0.9539 0.5618 0.9015


This entry pairs a crystal structure of Li6Mn3CoO10 with its theoretical X-ray powder pattern. Radiation: Cu Kα. Structure: DFT lattice parameters and positions (PBE+U).
Kinematic intensities with the Lorentz-polarization factor, no thermal factor.

The 10 most intense peaks (10° ≤ 2θ ≤ 90°), sorted by position:
2θ 14.72, intensity 11; 2θ 18.29, intensity 100; 2θ 34.26, intensity 19; 2θ 36.42, intensity 22; 2θ 41.09, intensity 37; 2θ 44.25, intensity 29; 2θ 44.49, intensity 27; 2θ 61.97, intensity 8; 2θ 62.09, intensity 9; 2θ 62.33, intensity 9

Structural model:
a b c (Å): 2.9975 5.0806 12.1256
angles (deg): 96.27 93.15 91.72
Positions (direct):
1 Li 0.0000 0.0000 0.0000
2 Li 0.0845 0.7184 0.1919
3 Li 0.2965 0.1121 0.6001
4 Li 0.4817 0.5296 0.9966
5 Li 0.6954 0.9086 0.4002
6 Li 0.8971 0.3106 0.7989
7 Mn 0.1830 0.4170 0.3967
8 Mn 0.5839 0.2048 0.1901
9 Mn 0.7970 0.6187 0.6017
10 Co 0.4057 0.8210 0.8083
11 O 0.0697 0.3409 0.1096
12 O 0.1122 0.0916 0.2887
13 O 0.2121 0.7516 0.4968
14 O 0.3695 0.4974 0.7026
15 O 0.4322 0.1283 0.8863
16 O 0.5528 0.8830 0.1056
17 O 0.6064 0.5409 0.2981
18 O 0.7692 0.2828 0.4998
19 O 0.8181 0.9465 0.6998
20 O 0.9639 0.6698 0.8902


This entry pairs a crystal structure of Li7Mn2Co3O12 with its theoretical X-ray powder pattern. Radiation: Cu Kα. Structure: DFT lattice parameters and positions (PBE+U).
Kinematic intensities with the Lorentz-polarization factor, no thermal factor.

The 10 most intense peaks (10° ≤ 2θ ≤ 90°), sorted by position:
2θ 18.46, intensity 100; 2θ 35.27, intensity 16; 2θ 36.53, intensity 23; 2θ 42.55, intensity 31; 2θ 44.37, intensity 54; 2θ 47.75, intensity 10; 2θ 58.46, intensity 10; 2θ 63.10, intensity 15; 2θ 63.22, intensity 16; 2θ 80.92, intensity 8

Structural model:
a b c (Å): 5.0095 5.0095 9.7165
angles (deg): 94.28 94.28 118.22
Positions (direct):
1 Li 0.0000 0.0000 0.0000
2 Li 0.0806 0.4075 0.2407
3 Li 0.2476 0.2421 0.7620
4 Li 0.3985 0.0664 0.2397
5 Li 0.5925 0.9194 0.7593
6 Li 0.7579 0.7524 0.2380
7 Li 0.9336 0.6015 0.7603
8 Mn 0.4994 0.5006 0.5000
9 Mn 0.8373 0.1627 0.5000
10 Co 0.1683 0.8317 0.5000
11 Co 0.3347 0.6653 0.0000
12 Co 0.6740 0.3260 0.0000
13 O 0.0318 0.6713 0.1075
14 O 0.1119 0.1046 0.3821
15 O 0.2209 0.5554 0.6152
16 O 0.3287 0.9682 0.8925
17 O 0.4065 0.3968 0.1127
18 O 0.4446 0.7791 0.3848
19 O 0.5256 0.1890 0.6051
20 O 0.6032 0.5935 0.8873
21 O 0.6960 0.0595 0.1165
22 O 0.8110 0.4744 0.3949
23 O 0.8954 0.8881 0.6179
24 O 0.9405 0.3040 0.8835


This entry pairs a crystal structure of Li7Mn2Co3O12 with its theoretical X-ray powder pattern. Radiation: Cu Kα. Structure: DFT lattice parameters and positions (PBE+U).
Kinematic intensities with the Lorentz-polarization factor, no thermal factor.

The 10 most intense peaks (10° ≤ 2θ ≤ 90°), sorted by position:
2θ 10.29, intensity 15; 2θ 18.49, intensity 100; 2θ 21.21, intensity 10; 2θ 35.14, intensity 15; 2θ 36.53, intensity 24; 2θ 42.33, intensity 30; 2θ 44.46, intensity 52; 2θ 47.67, intensity 9; 2θ 58.63, intensity 10; 2θ 63.07, intensity 30

Structural model:
a b c (Å): 5.1578 8.5966 5.1633
angles (deg): 90.00 111.68 90.00
Positions (direct):
1 Li 0.0000 0.0000 0.0000
2 Li 0.0000 0.1633 0.5000
3 Li 0.0000 0.5000 0.5000
4 Li 0.0000 0.8367 0.5000
5 Li 0.5000 0.0000 0.5000
6 Li 0.5000 0.3323 0.5000
7 Li 0.5000 0.6677 0.5000
8 Mn 0.5000 0.1666 0.0000
9 Mn 0.5000 0.8334 0.0000
10 Co 0.0000 0.3320 0.0000
11 Co 0.0000 0.6680 0.0000
12 Co 0.5000 0.5000 0.0000
13 O 0.2331 0.5000 0.2162
14 O 0.2542 0.1766 0.2112
15 O 0.2542 0.8234 0.2112
16 O 0.2704 0.3284 0.7617
17 O 0.2704 0.6716 0.7617
18 O 0.2831 0.0000 0.7650
19 O 0.7169 0.0000 0.2350
20 O 0.7296 0.3284 0.2383
21 O 0.7296 0.6716 0.2383
22 O 0.7458 0.1766 0.7888
23 O 0.7458 0.8234 0.7888
24 O 0.7669 0.5000 0.7838